Entry 1:
This entry pairs a crystal structure of PmZnPd3 with its simulated powder XRD pattern. Radiation: λ = 1.5418 Å (Cu Kα). Structure: the GGA-PBE geometry in Alexandria.
Lines closer than 0.1° are merged.

Largest 12 diffraction maxima, by intensity, 10 to 90 degrees two-theta:
| hkl | two_theta | I/Imax |
| --- | --- | --- |
| 1 2 3 | 41.82 | 100.0 |
| 2 0 2 | 38.62 | 80.8 |
| 1 2 1 | 29.81 | 70.0 |
| 2 2 0 | 40.11 | 67.5 |
| 0 3 1 | 35.91 | 55.8 |
| 0 0 4 | 40.96 | 42.1 |
| 2 1 1 | 36.12 | 39.6 |
| 0 2 2 | 30.56 | 36.4 |
| 4 0 0 | 68.24 | 29.1 |
| 3 2 3 | 64.51 | 27.0 |
| 1 0 3 | 34.62 | 26.4 |
| 0 4 0 | 46.42 | 25.5 |

Atomic structure:
```
data_PmZnPd3
_chemical_formula_sum 'Pm4 Zn4 Pd12'
_symmetry_space_group_name_H-M 'I m m a'
_symmetry_Int_Tables_number 74
_symmetry_space_group_name_Hall '-I 2b 2'
_cell_length_a 5.495
_cell_length_b 7.824
_cell_length_c 8.813
_cell_angle_alpha 90.00
_cell_angle_beta 90.00
_cell_angle_gamma 90.00
loop_
_atom_site_label
_atom_site_type_symbol
_atom_site_fract_x
_atom_site_fract_y
_atom_site_fract_z
Pm1 Pm 0.000 0.250 0.001
Zn1 Zn 0.000 0.000 0.500
Pd1 Pd 0.000 0.250 0.678
Pd2 Pd 0.250 0.052 0.250
```

=====

Entry 2:
This entry pairs a crystal structure of Pm2ZnPd4 with its simulated powder XRD pattern. Radiation: λ = 1.5418 Å (Cu Kα). Structure: the GGA-PBE geometry in Alexandria.
Lines closer than 0.1° are merged.

Largest 12 diffraction maxima, by intensity, 10 to 90 degrees two-theta:
| hkl | two_theta | I/Imax |
| --- | --- | --- |
| 2 2 2 | 36.58 | 100.0 |
| 2 2 0 | 30.20 | 64.5 |
| 0 0 4 | 40.86 | 25.7 |
| 0 4 0 | 41.09 | 24.7 |
| 4 0 0 | 45.41 | 22.5 |
| 1 3 3 | 45.11 | 15.2 |
| 4 0 4 | 62.72 | 14.2 |
| 4 4 4 | 77.76 | 13.8 |
| 4 4 0 | 62.89 | 13.8 |
| 0 4 4 | 59.34 | 13.6 |
| 0 0 2 | 20.10 | 12.5 |
| 0 2 0 | 20.21 | 12.0 |

Atomic structure:
```
data_Pm2ZnPd4
_chemical_formula_sum 'Pm8 Zn4 Pd16'
_symmetry_space_group_name_H-M 'F m m m'
_symmetry_Int_Tables_number 69
_symmetry_space_group_name_Hall '-F 2 2'
_cell_length_a 7.989
_cell_length_b 8.787
_cell_length_c 8.835
_cell_angle_alpha 90.00
_cell_angle_beta 90.00
_cell_angle_gamma 90.00
loop_
_atom_site_label
_atom_site_type_symbol
_atom_site_fract_x
_atom_site_fract_y
_atom_site_fract_z
Pm1 Pm 0.250 0.250 0.250
Zn1 Zn 0.000 0.000 0.000
Pd1 Pd 0.000 0.000 0.282
Pd2 Pd 0.000 0.216 0.500
```